[1]
Theoretical X-ray diffraction stick pattern of LiPrMgTe3 for Cu Kα (weighted mean of Kα1 and Kα2), from DFT lattice parameters and positions (GGA-PBE).

The 12 most intense peaks (5 to 70 degrees two-theta), most intense first:
| 2θ/deg | I_rel |
| --- | --- |
| 29.5 | 100 |
| 29.7 | 67 |
| 29.0 | 49 |
| 41.7 | 43 |
| 28.3 | 43 |
| 41.8 | 40 |
| 28.4 | 37 |
| 32.0 | 35 |
| 26.1 | 32 |
| 25.4 | 28 |
| 51.6 | 25 |
| 60.5 | 25 |

Cell and atoms:
a b c (Å): 8.666 4.325 9.548
angles (deg): 90.00 104.54 90.00
Fractional coordinates of all 12 atoms:
Li1 0.091 0.250 0.092
Li2 0.909 0.750 0.908
Pr1 0.195 0.250 0.742
Pr2 0.805 0.750 0.258
Mg1 0.332 0.750 0.338
Mg2 0.668 0.250 0.662
Te1 0.094 0.250 0.375
Te2 0.242 0.750 0.010
Te3 0.429 0.750 0.652
Te4 0.571 0.250 0.348
Te5 0.758 0.250 0.990
Te6 0.906 0.750 0.625

=====

[2]
Theoretical X-ray diffraction stick pattern of Ac8Tl2In for Cu Kα (weighted mean of Kα1 and Kα2), from DFT lattice parameters and positions (GGA-PBE).

The 12 most intense peaks (5 to 70 degrees two-theta), most intense first:
| 2θ/deg | I_rel |
| --- | --- |
| 29.6 | 100 |
| 32.2 | 28 |
| 28.9 | 20 |
| 55.8 | 17 |
| 33.5 | 16 |
| 47.2 | 12 |
| 28.1 | 12 |
| 37.0 | 10 |
| 55.0 | 9 |
| 49.8 | 9 |
| 59.5 | 9 |
| 24.9 | 8 |

Cell and atoms:
a b c (Å): 9.785 9.785 9.785
angles (deg): 146.98 120.37 69.88
Fractional coordinates of all 11 atoms:
Ac1 0.116 0.342 0.774
Ac2 0.140 0.140 0.000
Ac3 0.317 0.000 0.317
Ac4 0.433 0.658 0.774
Ac5 0.567 0.342 0.226
Ac6 0.683 0.000 0.683
Ac7 0.860 0.860 0.000
Ac8 0.884 0.658 0.226
Tl1 0.306 0.806 0.500
Tl2 0.694 0.194 0.500
In1 0.000 0.500 0.500

=====

[3]
Theoretical X-ray diffraction stick pattern of RbTl2OsCl6 for Cu Kα (weighted mean of Kα1 and Kα2), from DFT lattice parameters and positions (GGA-PBE).

The 12 most intense peaks (5 to 70 degrees two-theta), most intense first:
| 2θ/deg | I_rel |
| --- | --- |
| 23.1 | 100 |
| 13.0 | 64 |
| 10.1 | 62 |
| 25.1 | 35 |
| 41.8 | 31 |
| 33.5 | 30 |
| 40.0 | 26 |
| 32.5 | 25 |
| 27.8 | 24 |
| 54.0 | 22 |
| 29.1 | 21 |
| 20.3 | 20 |

Cell and atoms:
a b c (Å): 7.100 10.792 8.752
angles (deg): 90.00 90.00 90.00
Fractional coordinates of all 20 atoms:
Rb1 0.250 0.250 0.175
Rb2 0.750 0.750 0.825
Tl1 0.250 0.053 0.667
Tl2 0.250 0.447 0.667
Tl3 0.750 0.553 0.333
Tl4 0.750 0.947 0.333
Os1 0.250 0.750 0.314
Os2 0.750 0.250 0.686
Cl1 0.010 0.750 0.126
Cl2 0.012 0.750 0.507
Cl3 0.250 0.530 0.315
Cl4 0.250 0.970 0.315
Cl5 0.488 0.750 0.507
Cl6 0.490 0.750 0.126
Cl7 0.510 0.250 0.874
Cl8 0.512 0.250 0.493
Cl9 0.750 0.030 0.685
Cl10 0.750 0.470 0.685
Cl11 0.988 0.250 0.493
Cl12 0.990 0.250 0.874

=====

[4]
Theoretical X-ray diffraction stick pattern of LiTm8Bi6 for Cu Kα (weighted mean of Kα1 and Kα2), from DFT lattice parameters and positions (GGA-PBE).

The 12 most intense peaks (5 to 70 degrees two-theta), most intense first:
| 2θ/deg | I_rel |
| --- | --- |
| 31.1 | 100 |
| 37.6 | 65 |
| 40.3 | 30 |
| 24.2 | 27 |
| 21.4 | 26 |
| 49.6 | 25 |
| 63.8 | 21 |
| 50.8 | 15 |
| 69.6 | 11 |
| 22.3 | 11 |
| 56.3 | 10 |
| 67.8 | 9 |

Cell and atoms:
a b c (Å): 9.299 9.299 9.299
angles (deg): 52.97 52.97 52.97
Fractional coordinates of all 15 atoms:
Li1 0.000 0.000 0.000
Tm1 0.128 0.424 0.814
Tm2 0.186 0.872 0.576
Tm3 0.334 0.334 0.334
Tm4 0.424 0.814 0.128
Tm5 0.576 0.186 0.872
Tm6 0.666 0.666 0.666
Tm7 0.814 0.128 0.424
Tm8 0.872 0.576 0.186
Bi1 0.065 0.719 0.423
Bi2 0.281 0.577 0.935
Bi3 0.423 0.065 0.719
Bi4 0.577 0.935 0.281
Bi5 0.719 0.423 0.065
Bi6 0.935 0.281 0.577

=====

[5]
Theoretical X-ray diffraction stick pattern of Er4TlS6 for Cu Kα (weighted mean of Kα1 and Kα2), from DFT lattice parameters and positions (GGA-PBE).

The 12 most intense peaks (5 to 70 degrees two-theta), most intense first:
| 2θ/deg | I_rel |
| --- | --- |
| 25.4 | 100 |
| 31.9 | 65 |
| 27.0 | 45 |
| 45.3 | 41 |
| 33.4 | 39 |
| 25.2 | 37 |
| 27.4 | 31 |
| 53.6 | 27 |
| 42.3 | 27 |
| 31.0 | 25 |
| 46.3 | 23 |
| 52.2 | 21 |

Cell and atoms:
a b c (Å): 6.801 6.801 20.802
angles (deg): 90.00 90.00 146.50
Fractional coordinates of all 22 atoms:
Er1 0.098 0.902 0.633
Er2 0.098 0.902 0.867
Er3 0.368 0.632 0.541
Er4 0.368 0.632 0.959
Er5 0.632 0.368 0.041
Er6 0.632 0.368 0.459
Er7 0.902 0.098 0.133
Er8 0.902 0.098 0.367
Tl1 0.157 0.843 0.250
Tl2 0.843 0.157 0.750
S1 0.000 0.000 0.000
S2 0.000 0.000 0.500
S3 0.163 0.837 0.750
S4 0.271 0.729 0.079
S5 0.271 0.729 0.421
S6 0.465 0.535 0.651
S7 0.465 0.535 0.849
S8 0.535 0.465 0.151
S9 0.535 0.465 0.349
S10 0.729 0.271 0.579
S11 0.729 0.271 0.921
S12 0.837 0.163 0.250

=====

[6]
Theoretical X-ray diffraction stick pattern of Ac2GaNi6C for Cu Kα (weighted mean of Kα1 and Kα2), from DFT lattice parameters and positions (GGA-PBE).

The 12 most intense peaks (5 to 70 degrees two-theta), most intense first:
| 2θ/deg | I_rel |
| --- | --- |
| 38.7 | 100 |
| 42.7 | 79 |
| 40.2 | 68 |
| 35.7 | 65 |
| 31.3 | 59 |
| 32.2 | 55 |
| 27.3 | 49 |
| 21.0 | 45 |
| 62.8 | 41 |
| 57.3 | 34 |
| 67.3 | 32 |
| 54.5 | 22 |

Cell and atoms:
a b c (Å): 5.563 5.563 6.728
angles (deg): 114.36 114.36 60.01
Fractional coordinates of all 10 atoms:
Ac1 0.222 0.222 0.167
Ac2 0.778 0.778 0.833
Ga1 0.500 0.500 0.000
Ni1 0.229 0.229 0.660
Ni2 0.229 0.701 0.660
Ni3 0.299 0.771 0.340
Ni4 0.701 0.229 0.660
Ni5 0.771 0.299 0.340
Ni6 0.771 0.771 0.340
C1 0.000 0.000 0.500